VGaBi2O6: theoretical powder X-ray diffraction pattern (Cu Kα (λ = 1.5418 Å)), based on the PBE+U geometry in Alexandria.
Intensities are scaled so that the largest is 100.

Atomic structure:
```
data_VGaBi2O6
_chemical_formula_sum 'V2 Ga2 Bi4 O12'
_space_group_name_H-M_alt 'P 1 21/c 1'
_space_group_IT_number 14
_space_group_name_Hall '-P 2ybc'
_cell_length_a 5.4650
_cell_length_b 5.7411
_cell_length_c 9.5568
_cell_angle_alpha 90.00
_cell_angle_beta 124.84
_cell_angle_gamma 90.00
loop_
_atom_site_label
_atom_site_type_symbol
_atom_site_fract_x
_atom_site_fract_y
_atom_site_fract_z
_atom_site_occupancy
V1 V 0.0000 0.0000 0.0000 1
Ga1 Ga 0.5000 0.0000 0.5000 1
Bi1 Bi 0.2356 0.0490 0.7465 1
O1 O 0.1520 0.1939 0.4581 1
O2 O 0.2539 0.7058 0.4497 1
O3 O 0.3470 0.0299 0.2519 1
```

Principal peaks in the range 5 to 70 degrees two-theta, in order of rising 2θ:
(1 1 -1), 22.46°, intensity 30
(0 0 2), 22.67°, intensity 17
(0 2 0), 31.16°, intensity 22
(1 1 -3), 32.13°, intensity 100
(2 0 -2), 32.77°, intensity 25
(2 0 -4), 40.22°, intensity 14
(2 2 -2), 45.85°, intensity 21
(0 0 4), 46.30°, intensity 14
(1 3 0), 51.97°, intensity 17
(3 1 -5), 58.10°, intensity 22